(1)
Diffraction record for TmFe3. The PXRD pattern is theoretical, not measured: it uses a DFT-relaxed cell (PBE, the Materials Project) and a wavelength of 1.5418 Å.

Atomic structure:
abc: 8.529 8.529 8.529
angles: 34.52 34.52 34.52
Positions (direct):
1 Tm 0.000 0.000 0.000
2 Tm 0.142 0.142 0.142
3 Tm 0.858 0.858 0.858
4 Fe 0.082 0.582 0.582
5 Fe 0.333 0.333 0.333
6 Fe 0.418 0.418 0.918
7 Fe 0.418 0.918 0.418
8 Fe 0.500 0.500 0.500
9 Fe 0.582 0.082 0.582
10 Fe 0.582 0.582 0.082
11 Fe 0.667 0.667 0.667
12 Fe 0.918 0.418 0.418

The 8 most intense peaks (2θ = 10–90°), in order of rising 2θ:
2θ = 33.14°, 2.703 Å, I 545
2θ = 35.48°, 2.530 Å, I 590
2θ = 36.25°, 2.478 Å, I 360
2θ = 41.38°, 2.182 Å, I 393
2θ = 42.24°, 2.139 Å, I 1000
2θ = 62.22°, 1.492 Å, I 180
2θ = 68.35°, 1.372 Å, I 228
2θ = 75.09°, 1.265 Å, I 207

(2)
Diffraction record for Tm4Fe. The PXRD pattern is theoretical, not measured: it uses a DFT-relaxed cell (PBE, the Materials Project) and a wavelength of 1.5418 Å.

Atomic structure:
abc: 7.336 7.336 7.336
angles: 60.00 60.00 60.00
Positions (direct):
1 Tm 0.220 0.760 0.760
2 Tm 0.240 0.240 0.240
3 Tm 0.240 0.240 0.780
4 Tm 0.240 0.780 0.240
5 Tm 0.760 0.220 0.760
6 Tm 0.760 0.760 0.220
7 Tm 0.760 0.760 0.760
8 Tm 0.780 0.240 0.240
9 Fe 0.375 0.375 0.375
10 Fe 0.625 0.625 0.625

The 8 most intense peaks (2θ = 10–90°), in order of rising 2θ:
2θ = 29.83°, 2.995 Å, I 1000
2θ = 34.58°, 2.594 Å, I 413
2θ = 45.43°, 1.997 Å, I 90
2θ = 49.71°, 1.834 Å, I 404
2θ = 59.06°, 1.564 Å, I 388
2θ = 61.97°, 1.497 Å, I 91
2θ = 80.75°, 1.190 Å, I 140
2θ = 83.31°, 1.160 Å, I 105

(3)
Diffraction record for Tm6Fe23. The PXRD pattern is theoretical, not measured: it uses a DFT-relaxed cell (PBE, the Materials Project) and a wavelength of 1.5418 Å.

Atomic structure:
abc: 8.459 8.459 8.459
angles: 60.00 60.00 60.00
Positions (direct):
1 Tm 0.210 0.210 0.790
2 Tm 0.210 0.790 0.210
3 Tm 0.210 0.790 0.790
4 Tm 0.790 0.210 0.210
5 Tm 0.790 0.210 0.790
6 Tm 0.790 0.790 0.210
7 Fe 0.000 0.000 0.500
8 Fe 0.000 0.500 0.000
9 Fe 0.000 0.500 0.500
10 Fe 0.136 0.621 0.621
11 Fe 0.175 0.175 0.175
12 Fe 0.175 0.175 0.476
13 Fe 0.175 0.476 0.175
14 Fe 0.379 0.379 0.379
15 Fe 0.379 0.379 0.864
16 Fe 0.379 0.864 0.379
17 Fe 0.476 0.175 0.175
18 Fe 0.500 0.000 0.000
19 Fe 0.500 0.000 0.500
20 Fe 0.500 0.500 0.000
21 Fe 0.500 0.500 0.500
22 Fe 0.524 0.825 0.825
23 Fe 0.621 0.136 0.621
24 Fe 0.621 0.621 0.136
25 Fe 0.621 0.621 0.621
26 Fe 0.825 0.524 0.825
27 Fe 0.825 0.825 0.524
28 Fe 0.825 0.825 0.825
29 Fe 0.864 0.379 0.379

The 8 most intense peaks (2θ = 10–90°), in order of rising 2θ:
2θ = 25.80°, 3.453 Å, I 303
2θ = 29.88°, 2.991 Å, I 209
2θ = 32.63°, 2.744 Å, I 227
2θ = 36.81°, 2.442 Å, I 317
2θ = 39.13°, 2.302 Å, I 852
2θ = 42.76°, 2.115 Å, I 1000
2θ = 66.30°, 1.410 Å, I 220
2θ = 83.61°, 1.156 Å, I 191

(4)
Diffraction record for TmV2Fe10. The PXRD pattern is theoretical, not measured: it uses a DFT-relaxed cell (PBE, the Materials Project) and a wavelength of 1.5418 Å.

Atomic structure:
abc: 6.413 6.413 6.413
angles: 137.09 97.70 97.68
Positions (direct):
1 Tm 0.000 0.000 0.000
2 V 0.357 0.357 0.000
3 V 0.643 0.643 0.000
4 Fe 0.000 0.000 0.500
5 Fe 0.000 0.500 0.000
6 Fe 0.221 0.721 0.500
7 Fe 0.227 0.500 0.727
8 Fe 0.360 0.000 0.360
9 Fe 0.500 0.000 0.000
10 Fe 0.500 0.500 0.500
11 Fe 0.640 0.000 0.640
12 Fe 0.773 0.500 0.273
13 Fe 0.779 0.279 0.500

The 8 most intense peaks (2θ = 10–90°), in order of rising 2θ:
2θ = 30.39°, 2.941 Å, I 447
2θ = 37.26°, 2.413 Å, I 444
2θ = 42.86°, 2.110 Å, I 591
2θ = 43.19°, 2.095 Å, I 1000
2θ = 44.17°, 2.050 Å, I 685
2θ = 49.42°, 1.844 Å, I 209
2θ = 72.72°, 1.300 Å, I 197
2θ = 78.74°, 1.215 Å, I 186

(5)
Diffraction record for UFe2. The PXRD pattern is theoretical, not measured: it uses a DFT-relaxed cell (PBE, the Materials Project) and a wavelength of 1.5418 Å.

Atomic structure:
abc: 4.931 4.931 4.931
angles: 60.00 60.00 60.00
Positions (direct):
1 U 0.125 0.125 0.125
2 U 0.875 0.875 0.875
3 Fe 0.000 0.500 0.500
4 Fe 0.500 0.000 0.500
5 Fe 0.500 0.500 0.000
6 Fe 0.500 0.500 0.500

The 8 most intense peaks (2θ = 10–90°), in order of rising 2θ:
2θ = 22.08°, 4.026 Å, I 374
2θ = 36.44°, 2.466 Å, I 850
2θ = 43.02°, 2.103 Å, I 1000
2θ = 57.62°, 1.600 Å, I 102
2θ = 65.58°, 1.423 Å, I 324
2θ = 70.12°, 1.342 Å, I 316
2θ = 77.42°, 1.233 Å, I 220
2θ = 88.72°, 1.103 Å, I 158

(6)
Diffraction record for VFe3. The PXRD pattern is theoretical, not measured: it uses a DFT-relaxed cell (PBE, the Materials Project) and a wavelength of 1.5418 Å.

Atomic structure:
abc: 4.047 4.047 4.047
angles: 60.00 60.00 60.00
Positions (direct):
1 V 0.000 0.000 0.000
2 Fe 0.250 0.250 0.250
3 Fe 0.500 0.500 0.500
4 Fe 0.750 0.750 0.750

The 3 most intense peaks (2θ = 10–90°), in order of rising 2θ:
2θ = 44.79°, 2.024 Å, I 1000
2θ = 65.20°, 1.431 Å, I 146
2θ = 82.58°, 1.168 Å, I 284

(7)
Diffraction record for V3Fe. The PXRD pattern is theoretical, not measured: it uses a DFT-relaxed cell (PBE, the Materials Project) and a wavelength of 1.5418 Å.

Atomic structure:
abc: 4.649 4.649 4.649
angles: 90.00 90.00 90.00
Positions (direct):
1 V 0.000 0.250 0.500
2 V 0.000 0.750 0.500
3 V 0.250 0.500 0.000
4 V 0.500 0.000 0.250
5 V 0.500 0.000 0.750
6 V 0.750 0.500 0.000
7 Fe 0.000 0.000 0.000
8 Fe 0.500 0.500 0.500

The 8 most intense peaks (2θ = 10–90°), in order of rising 2θ:
2θ = 27.13°, 3.287 Å, I 14
2θ = 38.74°, 2.325 Å, I 427
2θ = 43.53°, 2.079 Å, I 1000
2θ = 47.93°, 1.898 Å, I 881
2θ = 70.12°, 1.342 Å, I 57
2θ = 73.44°, 1.289 Å, I 181
2θ = 76.70°, 1.243 Å, I 382
2θ = 83.10°, 1.162 Å, I 139

(8)
Diffraction record for VFe3. The PXRD pattern is theoretical, not measured: it uses a DFT-relaxed cell (PBE, the Materials Project) and a wavelength of 1.5418 Å.

Atomic structure:
abc: 2.486 2.486 8.031
angles: 90.00 90.00 108.03
Positions (direct):
1 V 0.000 0.000 0.000
2 Fe 0.000 0.000 0.500
3 Fe 0.500 0.500 0.253
4 Fe 0.500 0.500 0.747

The 8 most intense peaks (2θ = 10–90°), in order of rising 2θ:
2θ = 11.02°, 8.031 Å, I 15
2θ = 44.47°, 2.037 Å, I 1000
2θ = 45.11°, 2.010 Å, I 478
2θ = 63.70°, 1.461 Å, I 77
2θ = 65.70°, 1.421 Å, I 139
2θ = 81.44°, 1.182 Å, I 144
2θ = 82.74°, 1.166 Å, I 138
2θ = 82.88°, 1.165 Å, I 137

(9)
Diffraction record for VFe4. The PXRD pattern is theoretical, not measured: it uses a DFT-relaxed cell (PBE, the Materials Project) and a wavelength of 1.5418 Å.

Atomic structure:
abc: 10.263 10.166 2.479
angles: 85.26 80.81 13.93
Positions (direct):
1 V 0.000 0.000 0.000
2 Fe 0.200 0.200 0.800
3 Fe 0.399 0.399 0.601
4 Fe 0.601 0.601 0.399
5 Fe 0.800 0.800 0.200

The 6 most intense peaks (2θ = 10–90°), in order of rising 2θ:
2θ = 44.70°, 2.027 Å, I 1000
2θ = 45.01°, 2.014 Å, I 489
2θ = 64.58°, 1.443 Å, I 75
2θ = 65.55°, 1.424 Å, I 143
2θ = 82.17°, 1.173 Å, I 143
2θ = 82.84°, 1.165 Å, I 280

(10)
Diffraction record for VFe. The PXRD pattern is theoretical, not measured: it uses a DFT-relaxed cell (PBE, the Materials Project) and a wavelength of 1.5418 Å.

Atomic structure:
abc: 2.514 2.514 4.020
angles: 90.00 90.00 107.85
Positions (direct):
1 V 0.000 0.000 0.000
2 Fe 0.500 0.500 0.500

The 8 most intense peaks (2θ = 10–90°), in order of rising 2θ:
2θ = 44.04°, 2.056 Å, I 1000
2θ = 44.59°, 2.032 Å, I 240
2θ = 45.10°, 2.010 Å, I 232
2θ = 62.77°, 1.480 Å, I 79
2θ = 65.30°, 1.429 Å, I 138
2θ = 80.23°, 1.196 Å, I 73
2θ = 81.77°, 1.178 Å, I 138
2θ = 82.50°, 1.169 Å, I 135

(11)
Diffraction record for V3Fe. The PXRD pattern is theoretical, not measured: it uses a DFT-relaxed cell (PBE, the Materials Project) and a wavelength of 1.5418 Å.

Atomic structure:
abc: 4.130 4.130 4.130
angles: 60.00 60.00 60.00
Positions (direct):
1 V 0.000 0.000 0.000
2 V 0.250 0.250 0.250
3 V 0.750 0.750 0.750
4 Fe 0.500 0.500 0.500

The 3 most intense peaks (2θ = 10–90°), in order of rising 2θ:
2θ = 43.84°, 2.065 Å, I 1000
2θ = 63.73°, 1.460 Å, I 147
2θ = 80.57°, 1.192 Å, I 282

(12)
Diffraction record for VFe. The PXRD pattern is theoretical, not measured: it uses a DFT-relaxed cell (PBE, the Materials Project) and a wavelength of 1.5418 Å.

Atomic structure:
abc: 2.885 2.885 2.885
angles: 90.00 90.00 90.00
Positions (direct):
1 V 0.000 0.000 0.000
2 Fe 0.500 0.500 0.500

The 4 most intense peaks (2θ = 10–90°), in order of rising 2θ:
2θ = 31.00°, 2.885 Å, I 9
2θ = 44.41°, 2.040 Å, I 1000
2θ = 64.62°, 1.442 Å, I 146
2θ = 81.78°, 1.178 Å, I 283

(13)
Diffraction record for YVFe11. The PXRD pattern is theoretical, not measured: it uses a DFT-relaxed cell (PBE, the Materials Project) and a wavelength of 1.5418 Å.

Atomic structure:
abc: 6.426 6.426 6.426
angles: 137.23 97.88 97.39
Positions (direct):
1 Y 0.000 0.000 0.000
2 V 0.375 0.375 0.000
3 Fe 0.005 0.004 0.500
4 Fe 0.005 0.504 0.001
5 Fe 0.230 0.506 0.724
6 Fe 0.234 0.734 0.500
7 Fe 0.365 0.006 0.359
8 Fe 0.504 0.004 0.999
9 Fe 0.504 0.504 0.500
10 Fe 0.642 0.642 0.000
11 Fe 0.647 0.006 0.641
12 Fe 0.776 0.276 0.500
13 Fe 0.781 0.506 0.276

The 8 most intense peaks (2θ = 10–90°), in order of rising 2θ:
2θ = 30.36°, 2.944 Å, I 218
2θ = 37.27°, 2.412 Å, I 203
2θ = 42.63°, 2.121 Å, I 364
2θ = 42.85°, 2.110 Å, I 333
2θ = 43.11°, 2.098 Å, I 1000
2θ = 44.18°, 2.050 Å, I 762
2θ = 49.41°, 1.845 Å, I 483
2θ = 72.72°, 1.300 Å, I 188

(14)
Diffraction record for Zr2V3Fe. The PXRD pattern is theoretical, not measured: it uses a DFT-relaxed cell (PBE, the Materials Project) and a wavelength of 1.5418 Å.

Atomic structure:
abc: 5.059 5.059 5.059
angles: 62.19 62.19 62.19
Positions (direct):
1 Zr 0.126 0.126 0.126
2 Zr 0.874 0.874 0.874
3 V 0.000 0.500 0.500
4 V 0.500 0.000 0.500
5 V 0.500 0.500 0.000
6 Fe 0.500 0.500 0.500

The 8 most intense peaks (2θ = 10–90°), in order of rising 2θ:
2θ = 34.32°, 2.613 Å, I 539
2θ = 35.53°, 2.527 Å, I 404
2θ = 40.55°, 2.225 Å, I 432
2θ = 41.08°, 2.197 Å, I 1000
2θ = 42.12°, 2.145 Å, I 441
2θ = 42.63°, 2.121 Å, I 321
2θ = 66.08°, 1.414 Å, I 225
2θ = 72.34°, 1.306 Å, I 221